For Li2MnSi4O11, a structure optimized by DFT (GGA+U) gives the theoretical powder XRD pattern in this record (Cu Kα, 1.54184 Å).
Lines closer than 0.1° are merged.

Principal peaks in the range 2θ from 10° to 80°, low angle first:
- 2θ = 16.8°, rel. 97, (2 0 0)
- 2θ = 22.0°, rel. 26, (2 1 1)
- 2θ = 22.8°, rel. 100, (0 0 2)
- 2θ = 23.9°, rel. 25, (2 2 0)
- 2θ = 26.8°, rel. 85, (1 3 0)
- 2θ = 27.9°, rel. 27, (3 0 1)
- 2θ = 28.5°, rel. 18, (2 0 2)
- 2θ = 35.4°, rel. 34, (1 3 2)
- 2θ = 36.2°, rel. 33, (3 3 0)
- 2θ = 39.6°, rel. 15, (2 1 3)

Atomic structure:
abc: 10.5319 10.5319 7.7984
angles: 90.00 90.00 90.00
Space group I4/m (No. 87)
Unique sites:
1 Li 0.1180 0.8489 0.0000 x8
2 Mn 0.0000 0.0000 0.2563 x4
3 Si 0.0175 0.3033 0.3063 x16
4 O 0.0000 0.0000 0.0000 x2
5 O 0.0000 0.0000 0.5000 x2
6 O 0.0387 0.7105 0.5000 x8
7 O 0.0659 0.1713 0.2231 x16
8 O 0.0968 0.6377 0.1870 x16

=====

For LiMnSi2O6, a structure optimized by DFT (GGA+U) gives the theoretical powder XRD pattern in this record (Cu Kα, 1.54184 Å).
Lines closer than 0.1° are merged.

Principal peaks in the range 2θ from 10° to 80°, low angle first:
- 2θ = 19.1°, rel. 42, (1 0 1)
- 2θ = 26.8°, rel. 100, (0 2 0)
- 2θ = 27.1°, rel. 29, (1 2 1)
- 2θ = 27.6°, rel. 21, (1 0 2)
- 2θ = 29.0°, rel. 18, (0 2 1)
- 2θ = 31.1°, rel. 14, (0 2 -1)
- 2θ = 36.7°, rel. 12, (2 0 0)
- 2θ = 39.4°, rel. 14, (1 3 0)
- 2θ = 52.6°, rel. 10, (2 -2 0)
- 2θ = 66.1°, rel. 9, (-1 4 1)

Atomic structure:
abc: 5.4351 7.0828 7.0970
angles: 79.10 70.36 70.39
Space group P-1 (No. 2)
Unique sites:
1 Li 0.2498 0.1560 0.3435 x2
2 Mn 0.2504 0.7776 0.7220 x2
3 Si 0.2025 0.1960 0.8796 x2
4 Si 0.2970 0.6204 0.3046 x2
5 O 0.0940 0.6761 0.1615 x2
6 O 0.1209 0.1397 0.1230 x2
7 O 0.1410 0.7511 0.4992 x2
8 O 0.3593 0.0004 0.7502 x2
9 O 0.3781 0.3767 0.3617 x2
10 O 0.4056 0.3396 0.8236 x2

=====

For Li2Mn3SnO8, a structure optimized by DFT (GGA+U) gives the theoretical powder XRD pattern in this record (Cu Kα, 1.54184 Å).
Lines closer than 0.1° are merged.

Principal peaks in the range 2θ from 10° to 80°, low angle first:
- 2θ = 17.9°, rel. 35, (1 0 1)
- 2θ = 18.3°, rel. 61, (0 0 3)
- 2θ = 20.8°, rel. 90, (0 1 2)
- 2θ = 29.8°, rel. 69, (1 0 4)
- 2θ = 34.7°, rel. 100, (0 2 1)
- 2θ = 34.9°, rel. 80, (1 1 3)
- 2θ = 35.2°, rel. 35, (0 1 5)
- 2θ = 56.0°, rel. 29, (1 2 5)
- 2θ = 61.1°, rel. 42, (2 2 0)
- 2θ = 62.0°, rel. 36, (2 0 8)

Atomic structure:
abc: 6.0657 6.0657 14.5748
angles: 90.00 90.00 120.00
Space group R3m (No. 160, hexagonal axes)
Unique sites:
1 Li 0.0000 0.0000 0.0000 x3
2 Li 0.0000 0.0000 0.3779 x3
3 Mn 0.1729 0.3459 0.8277 x9
4 Sn 0.0000 0.0000 0.6087 x3
5 O 0.0000 0.0000 0.2422 x3
6 O 0.0000 0.0000 0.7465 x3
7 O 0.0299 0.5149 0.7603 x9
8 O 0.1824 0.3648 0.5695 x9

=====

For Li4Mn3Sn5O16, a structure optimized by DFT (GGA+U) gives the theoretical powder XRD pattern in this record (Cu Kα, 1.54184 Å).
Lines closer than 0.1° are merged.

Principal peaks in the range 2θ from 10° to 80°, low angle first:
- 2θ = 17.8°, rel. 62, (0 0 2)
- 2θ = 18.2°, rel. 66, (2 0 -1)
- 2θ = 18.8°, rel. 100, (1 1 -1)
- 2θ = 19.0°, rel. 50, (1 1 1)
- 2θ = 24.6°, rel. 45, (2 0 2)
- 2θ = 32.0°, rel. 53, (2 0 3)
- 2θ = 33.4°, rel. 44, (3 1 -2)
- 2θ = 34.3°, rel. 65, (4 0 1)
- 2θ = 35.0°, rel. 43, (2 2 1)
- 2θ = 59.0°, rel. 49, (6 2 0)

Atomic structure:
abc: 10.9343 6.1098 9.9630
angles: 90.00 91.97 90.00
Space group Cm (No. 8)
Unique sites:
1 Li 0.0000 0.0000 0.0000 x2
2 Li 0.0111 0.0000 0.5078 x2
3 Li 0.1676 0.5000 0.0926 x2
4 Li 0.3357 0.0000 0.5982 x2
5 Mn 0.0837 0.2543 0.7821 x4
6 Mn 0.1679 0.0000 0.2804 x2
7 Sn 0.1632 0.5000 0.5076 x2
8 Sn 0.3260 0.0000 0.0018 x2
9 Sn 0.3289 0.5000 0.7782 x2
10 Sn 0.4129 0.2460 0.2803 x4
11 O 0.0022 0.0000 0.6921 x2
12 O 0.0226 0.5000 0.6635 x2
13 O 0.0756 0.2485 0.4031 x4
14 O 0.1543 0.0000 0.8938 x2
15 O 0.1615 0.5000 0.8825 x2
16 O 0.2449 0.2751 0.6463 x4
17 O 0.2620 0.2294 0.1452 x4
18 O 0.3368 0.5000 0.3985 x2
19 O 0.3400 0.0000 0.3946 x2
20 O 0.4107 0.2554 0.8991 x4
21 O 0.4824 0.0000 0.1515 x2
22 O 0.4932 0.5000 0.1828 x2

=====

For Li4Mn5SnO12, a structure optimized by DFT (GGA+U) gives the theoretical powder XRD pattern in this record (Cu Kα, 1.54184 Å).
Lines closer than 0.1° are merged.

Principal peaks in the range 2θ from 10° to 80°, low angle first:
- 2θ = 17.2°, rel. 100, (0 0 2)
- 2θ = 33.3°, rel. 12, (2 0 0)
- 2θ = 35.4°, rel. 16, (1 3 -1)
- 2θ = 35.5°, rel. 16, (1 3 1)
- 2θ = 37.5°, rel. 11, (2 0 -2)
- 2θ = 38.0°, rel. 9, (2 0 2)
- 2θ = 43.3°, rel. 19, (1 3 -3)
- 2θ = 43.7°, rel. 17, (1 3 3)
- 2θ = 56.7°, rel. 11, (1 3 -5)
- 2θ = 61.0°, rel. 9, (3 3 1)

Atomic structure:
abc: 5.3797 8.9707 10.3097
angles: 90.00 90.91 90.00
Space group C2/m (No. 12)
Unique sites:
1 Li 0.1165 0.2452 0.2477 x8
2 Mn 0.0000 0.0000 0.0000 x2
3 Mn 0.0000 0.1636 0.5000 x4
4 Mn 0.0000 0.3362 0.0000 x4
5 Sn 0.0000 0.5000 0.5000 x2
6 O 0.1343 0.3206 0.6131 x8
7 O 0.1481 0.1809 0.8941 x8
8 O 0.1599 0.0000 0.5957 x4
9 O 0.1743 0.5000 0.9128 x4

=====

For Li2Mn3SnO8, a structure optimized by DFT (GGA+U) gives the theoretical powder XRD pattern in this record (Cu Kα, 1.54184 Å).
Lines closer than 0.1° are merged.

Principal peaks in the range 2θ from 10° to 80°, low angle first:
- 2θ = 17.8°, rel. 56, (0 1 1)
- 2θ = 18.1°, rel. 100, (1 0 1)
- 2θ = 34.0°, rel. 22, (1 2 -1)
- 2θ = 34.6°, rel. 21, (1 0 -3)
- 2θ = 34.8°, rel. 18, (-1 1 2)
- 2θ = 35.3°, rel. 19, (2 1 3)
- 2θ = 40.8°, rel. 30, (0 2 -2)
- 2θ = 42.8°, rel. 51, (2 2 4)
- 2θ = 60.3°, rel. 17, (2 2 -4)
- 2θ = 60.8°, rel. 17, (2 4 2)

Atomic structure:
abc: 5.8855 6.0940 10.6051
angles: 75.23 73.90 61.18
Space group P-1 (No. 2)
Unique sites:
1 Li 0.0528 0.0595 0.3148 x2
2 Li 0.4259 0.4414 0.1858 x2
3 Mn 0.0000 0.0000 0.0000 x1
4 Mn 0.0000 0.5000 0.0000 x1
5 Mn 0.0000 0.5000 0.5000 x1
6 Mn 0.5000 0.0000 0.0000 x1
7 Mn 0.5000 0.0000 0.5000 x1
8 Mn 0.5000 0.5000 0.5000 x1
9 Sn 0.2619 0.2497 0.7500 x2
10 O 0.0929 0.6239 0.1187 x2
11 O 0.1411 0.1134 0.1016 x2
12 O 0.1573 0.5951 0.6188 x2
13 O 0.1637 0.1232 0.6196 x2
14 O 0.3538 0.3924 0.3972 x2
15 O 0.3707 0.9043 0.8813 x2
16 O 0.3840 0.3359 0.8912 x2
17 O 0.3892 0.8387 0.3936 x2